[1]
For Cu3O4, a crystal structure in Alexandria, relaxed with GGA-PBE gives the simulated PXRD pattern in this record (copper Kα).
Neutral-atom scattering factors, no anomalous dispersion.

Main lines, in order of rising 2θ (2θ from 10° to 80°):
d = 4.502 Å, intensity 52.5
d = 3.184 Å, intensity 26.4
d = 2.599 Å, intensity 100.0
d = 2.251 Å, intensity 25.7
d = 2.013 Å, intensity 10.5
d = 1.838 Å, intensity 12.3
d = 1.592 Å, intensity 46.2
d = 1.501 Å, intensity 7.6
d = 1.357 Å, intensity 35.2
d = 1.300 Å, intensity 6.6

Crystal structure
Lattice parameters (Å, degrees): 6.3671 6.3671 6.3671 60.00 60.00 60.00
Sites, in units of the cell vectors:
Cu1 0.0000 0.0000 0.5000
Cu2 0.0000 0.5000 0.0000
Cu3 0.0000 0.5000 0.5000
Cu4 0.5000 0.0000 0.0000
Cu5 0.5000 0.0000 0.5000
Cu6 0.5000 0.5000 0.0000
O1 0.1427 0.1427 0.1427
O2 0.1427 0.1427 0.5719
O3 0.1427 0.5719 0.1427
O4 0.4281 0.8573 0.8573
O5 0.5719 0.1427 0.1427
O6 0.8573 0.4281 0.8573
O7 0.8573 0.8573 0.4281
O8 0.8573 0.8573 0.8573

---

[2]
For RbCd10Hg2, a crystal structure in Alexandria, relaxed with GGA-PBE gives the simulated PXRD pattern in this record (copper Kα).
Neutral-atom scattering factors, no anomalous dispersion.

Main lines, in order of rising 2θ (2θ from 10° to 80°):
d = 2.786 Å, intensity 45.4
d = 2.643 Å, intensity 59.2
d = 2.632 Å, intensity 44.6
d = 2.606 Å, intensity 82.8
d = 2.566 Å, intensity 36.2
d = 2.349 Å, intensity 100.0
d = 2.325 Å, intensity 39.5
d = 2.309 Å, intensity 21.4
d = 2.303 Å, intensity 25.3
d = 1.512 Å, intensity 19.8

Crystal structure
Lattice parameters (Å, degrees): 7.9954 7.9954 10.4296 90.00 90.00 100.12
Sites, in units of the cell vectors:
Rb1 0.1290 0.8710 0.7500
Rb2 0.8710 0.1290 0.2500
Cd1 0.1530 0.8470 0.1081
Cd2 0.1530 0.8470 0.3919
Cd3 0.1623 0.3945 0.7500
Cd4 0.2173 0.2173 0.0000
Cd5 0.2173 0.2173 0.5000
Cd6 0.2319 0.4801 0.2500
Cd7 0.3863 0.6137 0.5463
Cd8 0.3863 0.6137 0.9537
Cd9 0.3945 0.1623 0.2500
Cd10 0.4801 0.2319 0.7500
Cd11 0.5199 0.7681 0.2500
Cd12 0.6055 0.8377 0.7500
Cd13 0.6137 0.3863 0.0463
Cd14 0.6137 0.3863 0.4537
Cd15 0.7681 0.5199 0.7500
Cd16 0.7827 0.7827 0.0000
Cd17 0.7827 0.7827 0.5000
Cd18 0.8377 0.6055 0.2500
Cd19 0.8470 0.1530 0.6081
Cd20 0.8470 0.1530 0.8919
Hg1 0.0000 0.5000 0.0000
Hg2 0.0000 0.5000 0.5000
Hg3 0.5000 0.0000 0.0000
Hg4 0.5000 0.0000 0.5000

---

[3]
For Pm3Co7Cu2, a crystal structure in Alexandria, relaxed with GGA-PBE gives the simulated PXRD pattern in this record (copper Kα).
Neutral-atom scattering factors, no anomalous dispersion.

Main lines, in order of rising 2θ (2θ from 10° to 80°):
d = 2.776 Å, intensity 46.9
d = 2.554 Å, intensity 39.1
d = 2.508 Å, intensity 54.0
d = 2.164 Å, intensity 36.5
d = 2.155 Å, intensity 100.0
d = 2.031 Å, intensity 15.0
d = 1.996 Å, intensity 15.4
d = 1.448 Å, intensity 17.3
d = 1.369 Å, intensity 21.9
d = 1.254 Å, intensity 21.3

Crystal structure
Lattice parameters (Å, degrees): 8.9058 8.9058 8.9058 32.72 32.72 32.72
Sites, in units of the cell vectors:
Pm1 0.0000 0.0000 0.0000
Pm2 0.1393 0.1393 0.1393
Pm3 0.8607 0.8607 0.8607
Co1 0.0832 0.5809 0.5809
Co2 0.4191 0.4191 0.9168
Co3 0.4191 0.9168 0.4191
Co4 0.5000 0.5000 0.5000
Co5 0.5809 0.0832 0.5809
Co6 0.5809 0.5809 0.0832
Co7 0.9168 0.4191 0.4191
Cu1 0.3332 0.3332 0.3332
Cu2 0.6668 0.6668 0.6668